Computed powder XRD pattern of Li4Ni5SbO12 for a wavelength of 1.5418 Å, from a DFT-relaxed cell (PBE+U, Alexandria).

The 10 most intense peaks (2θ = 15–90°), by angle:
index, 2theta, I (rel.)
0 0 2, 18.03, 100
2 0 0, 35.64, 12
1 3 -1, 36.06, 21
2 0 -2, 37.49, 28
2 0 2, 42.80, 10
1 3 -3, 43.52, 19
1 3 3, 47.13, 19
2 0 -4, 47.48, 9
1 3 -5, 57.07, 11
3 3 -1, 63.34, 11

Crystal structure
Unit cell a=5.100 b=8.745 c=9.959 alpha=90.00 beta=98.95 gamma=90.00
Space group C2/m (No. 12)
Unique sites:
Li  0.093  0.174  0.258 x8
Ni  0.000  0.000  0.500 x2
Ni  0.000  0.167  0.000 x4
Ni  0.000  0.335  0.500 x4
Sb  0.000  0.500  0.000 x2
O  0.124  0.332  0.887 x8
O  0.129  0.000  0.890 x4
O  0.187  0.179  0.605 x8
O  0.208  0.500  0.598 x4

=====

Computed powder XRD pattern of Li2Si2Ni2O7 for a wavelength of 1.5418 Å, from a DFT-relaxed cell (PBE+U, Alexandria).

The 10 most intense peaks (2θ = 15–90°), by angle:
index, 2theta, I (rel.)
0 1 1, 20.51, 63
0 2 0, 21.35, 31
1 1 1, 21.62, 34
1 2 0, 22.42, 18
4 1 1, 34.41, 100
0 0 2, 35.41, 26
0 3 1, 36.93, 47
4 2 2, 50.59, 37
4 4 0, 52.13, 18
0 3 3, 64.59, 31

Crystal structure
Unit cell a=13.052 b=8.323 c=5.070 alpha=90.00 beta=90.00 gamma=90.00
Space group Ama2 (No. 40)
Unique sites:
Li  0.085  0.201  0.000 x8
Si  0.137  0.350  0.502 x8
Ni  0.000  0.000  0.491 x4
Ni  0.250  0.003  0.472 x4
O  0.051  0.223  0.594 x8
O  0.131  0.009  0.195 x8
O  0.135  0.404  0.191 x8
O  0.250  0.255  0.560 x4

=====

Computed powder XRD pattern of Li3SiNi3O8 for a wavelength of 1.5418 Å, from a DFT-relaxed cell (PBE+U, Alexandria).

The 10 most intense peaks (2θ = 15–90°), by angle:
index, 2theta, I (rel.)
0 0 1, 18.42, 100
2 0 -1, 35.72, 15
1 2 0, 37.71, 19
1 2 -1, 38.92, 7
2 0 -2, 42.77, 23
1 2 1, 45.42, 38
1 2 -2, 48.53, 7
1 2 2, 59.31, 10
1 2 -3, 63.64, 11
3 2 -1, 64.65, 11

Crystal structure
Unit cell a=5.073 b=5.527 c=5.171 alpha=90.00 beta=111.32 gamma=90.00
Space group P2/m (No. 10)
Unique sites:
Li  0.000  0.000  0.000 x1
Li  0.500  0.256  0.000 x2
Si  0.500  0.500  0.500 x1
Ni  0.000  0.252  0.500 x2
Ni  0.500  0.000  0.500 x1
O  0.223  0.000  0.724 x2
O  0.262  0.500  0.697 x2
O  0.290  0.262  0.285 x4

=====

Computed powder XRD pattern of Li9Si2Ni5O16 for a wavelength of 1.5418 Å, from a DFT-relaxed cell (PBE+U, Alexandria).

The 10 most intense peaks (2θ = 15–90°), by angle:
index, 2theta, I (rel.)
0 1 1, 18.65, 100
1 0 4, 36.83, 23
2 0 0, 37.34, 11
1 1 5, 44.41, 52
-2 1 1, 45.18, 25
2 3 3, 64.16, 7
1 -3 1, 64.53, 7
-1 2 6, 64.68, 7
3 0 4, 65.79, 7
3 1 -3, 65.87, 7

Crystal structure
Unit cell a=4.899 b=5.050 c=11.130 alpha=80.82 beta=85.41 gamma=79.97
Space group P-1 (No. 2)
Unique sites:
Li  0.000  0.000  0.000 x1
Li  0.236  0.688  0.815 x2
Li  0.241  0.190  0.315 x2
Li  0.241  0.449  0.060 x2
Li  0.259  0.942  0.562 x2
Si  0.498  0.883  0.119 x2
Ni  0.000  0.500  0.500 x1
Ni  0.001  0.241  0.757 x2
Ni  0.498  0.629  0.373 x2
O  0.106  0.834  0.392 x2
O  0.113  0.558  0.666 x2
O  0.157  0.060  0.156 x2
O  0.158  0.317  0.898 x2
O  0.356  0.296  0.470 x2
O  0.364  0.587  0.203 x2
O  0.367  0.041  0.744 x2
O  0.408  0.814  0.974 x2

=====

Computed powder XRD pattern of Li2SiNiO4 for a wavelength of 1.5418 Å, from a DFT-relaxed cell (PBE+U, Alexandria).

The 10 most intense peaks (2θ = 15–90°), by angle:
index, 2theta, I (rel.)
1 0 1, 21.87, 86
1 0 2, 25.72, 100
0 1 3, 31.15, 66
1 1 0, 35.79, 35
2 -1 2, 39.19, 25
0 1 5, 44.65, 31
2 0 3, 48.17, 52
3 -1 1, 56.61, 24
2 0 5, 58.48, 22
3 -2 3, 61.44, 15

Crystal structure
Unit cell a=5.0174 b=5.0174 c=11.4743 alpha=90.00 beta=90.00 gamma=120.00
Space group P3_1 (No. 144)
Unique sites:
Li  0.0111  0.8015  0.0000 x3
Li  0.0978  0.6431  0.5045 x3
Si  0.4774  0.3200  0.5872 x3
Ni  0.1468  0.7791  0.7456 x3
O  0.0916  0.6564  0.1455 x3
O  0.2331  0.2053  0.6977 x3
O  0.3933  0.2081  0.9606 x3
O  0.5059  0.4850  0.2161 x3

=====

Computed powder XRD pattern of Li2Si2NiO6 for a wavelength of 1.5418 Å, from a DFT-relaxed cell (PBE+U, Alexandria).

The 10 most intense peaks (2θ = 15–90°), by angle:
index, 2theta, I (rel.)
1 1 0, 17.90, 38
0 0 2, 18.88, 81
1 1 1, 20.48, 100
1 1 -2, 25.77, 71
1 1 2, 26.48, 57
0 2 2, 26.68, 50
1 3 0, 32.19, 29
1 3 -1, 33.46, 74
2 2 0, 36.25, 28
2 2 2, 41.65, 50

Crystal structure
Unit cell a=5.812 b=9.502 c=9.405 alpha=90.00 beta=91.78 gamma=90.00
Space group C2/c (No. 15)
Unique sites:
Li  0.067  0.170  0.381 x8
Si  0.168  0.471  0.368 x8
Ni  0.000  0.244  0.750 x4
O  0.000  0.383  0.250 x4
O  0.000  0.500  0.000 x4
O  0.129  0.140  0.587 x8
O  0.246  0.119  0.201 x8

=====

Computed powder XRD pattern of Li4Si2NiO7 for a wavelength of 1.5418 Å, from a DFT-relaxed cell (PBE+U, Alexandria).

The 10 most intense peaks (2θ = 15–90°), by angle:
index, 2theta, I (rel.)
1 1 -1, 20.42, 100
0 0 2, 22.23, 70
3 1 0, 25.91, 21
4 0 0, 26.90, 41
0 2 0, 32.73, 38
3 1 -2, 33.03, 73
4 0 2, 36.88, 72
1 1 -3, 37.54, 22
2 2 1, 37.70, 24
3 3 -2, 58.61, 38

Crystal structure
Unit cell a=13.324 b=5.473 c=8.036 alpha=90.00 beta=95.65 gamma=90.00
Space group Cc (No. 9)
Unique sites:
Li  0.000  0.146  0.000 x4
Li  0.069  0.328  0.350 x4
Li  0.203  0.341  0.070 x4
Li  0.274  0.185  0.423 x4
Si  0.142  0.170  0.707 x4
Si  0.354  0.332  0.779 x4
Ni  0.425  0.161  0.150 x4
O  0.052  0.308  0.800 x4
O  0.117  0.117  0.175 x4
O  0.168  0.318  0.541 x4
O  0.250  0.191  0.845 x4
O  0.326  0.380  0.241 x4
O  0.387  0.189  0.613 x4
O  0.444  0.308  0.932 x4

=====

Repeat the fourth record exactly.
Computed powder XRD pattern of Li9Si2Ni5O16 for a wavelength of 1.5418 Å, from a DFT-relaxed cell (PBE+U, Alexandria).

The 10 most intense peaks (2θ = 15–90°), by angle:
index, 2theta, I (rel.)
0 1 1, 18.65, 100
1 0 4, 36.83, 23
2 0 0, 37.34, 11
1 1 5, 44.41, 52
-2 1 1, 45.18, 25
2 3 3, 64.16, 7
1 -3 1, 64.53, 7
-1 2 6, 64.68, 7
3 0 4, 65.79, 7
3 1 -3, 65.87, 7

Crystal structure
Unit cell a=4.899 b=5.050 c=11.130 alpha=80.82 beta=85.41 gamma=79.97
Space group P-1 (No. 2)
Unique sites:
Li  0.000  0.000  0.000 x1
Li  0.236  0.688  0.815 x2
Li  0.241  0.190  0.315 x2
Li  0.241  0.449  0.060 x2
Li  0.259  0.942  0.562 x2
Si  0.498  0.883  0.119 x2
Ni  0.000  0.500  0.500 x1
Ni  0.001  0.241  0.757 x2
Ni  0.498  0.629  0.373 x2
O  0.106  0.834  0.392 x2
O  0.113  0.558  0.666 x2
O  0.157  0.060  0.156 x2
O  0.158  0.317  0.898 x2
O  0.356  0.296  0.470 x2
O  0.364  0.587  0.203 x2
O  0.367  0.041  0.744 x2
O  0.408  0.814  0.974 x2